Diffraction record for K2Sn2H3. The X-ray powder pattern is computed, not measured: it uses a cell relaxed with GGA-PBE and Cu Kα (λ = 1.5418 Å).
Peak positions follow from Bragg's law for the DFT cell and can differ from measured ones.

Structure:
Unit cell a=7.064 b=3.310 c=7.175 alpha=90.00 beta=118.31 gamma=90.00
Space group P2/m (No. 10)
Inequivalent atoms, fractional coordinates:
K 0.220 0.000 0.285 [2 per cell]
Sn 0.288 0.500 0.798 [2 per cell]
H 0.000 0.500 0.000 [1 per cell]
H 0.433 0.500 0.635 [2 per cell]

Peak list (10 most intense, 10° ≤ 2θ ≤ 80°, in order of falling intensity)
2θ/deg  d (Å)  Rel. int.  index
30.7  2.910  100  1 1 -1
14.5  6.112  74  1 0 -1
36.7  2.452  54  1 1 1
29.2  3.056  50  2 0 -2
28.7  3.110  50  2 0 0
28.3  3.158  47  0 0 2
47.8  1.901  23  3 1 -1
26.9  3.310  19  0 1 0
47.3  1.924  18  1 1 -3
40.2  2.245  17  2 1 -2

Diffraction record for Pm7Sm12Mg. The X-ray powder pattern is computed, not measured: it uses a cell relaxed with GGA-PBE and Cu Kα (λ = 1.5418 Å).
Peak positions follow from Bragg's law for the DFT cell and can differ from measured ones.

Structure:
Unit cell a=12.2056 b=12.2056 c=15.9752 alpha=90.00 beta=90.00 gamma=120.00
Space group R-3 (No. 148, hexagonal axes)
Inequivalent atoms, fractional coordinates:
Pm 0.0000 0.0000 0.0000 [3 per cell]
Pm 0.0566 0.1875 0.2942 [18 per cell]
Sm 0.0317 0.4539 0.2165 [18 per cell]
Sm 0.0546 0.5855 0.5837 [18 per cell]
Mg 0.0000 0.0000 0.5000 [3 per cell]

Peak list (10 most intense, 10° ≤ 2θ ≤ 80°, in order of falling intensity)
2θ/deg  d (Å)  Rel. int.  index
31.0  2.884  100  4 -3 1
31.7  2.825  49  2 1 4
32.5  2.752  45  3 1 2
30.4  2.938  41  0 3 3
32.8  2.734  28  2 0 5
29.2  3.057  28  0 1 5
22.2  4.012  17  1 1 3
51.1  1.786  16  3 -2 8
52.5  1.743  15  5 -4 6
54.2  1.693  14  2 5 0

Diffraction record for Li12ZnAg6. The X-ray powder pattern is computed, not measured: it uses a cell relaxed with GGA-PBE and Cu Kα (λ = 1.5418 Å).
Peak positions follow from Bragg's law for the DFT cell and can differ from measured ones.

Structure:
Unit cell a=9.8096 b=9.8096 c=11.9680 alpha=90.00 beta=90.00 gamma=120.00
Space group R-3 (No. 148, hexagonal axes)
Inequivalent atoms, fractional coordinates:
Li 0.0372 0.1903 0.3147 [18 per cell]
Li 0.0605 0.8416 0.9126 [18 per cell]
Zn 0.0000 0.0000 0.5000 [3 per cell]
Ag 0.0238 0.4354 0.2065 [18 per cell]

Peak list (10 most intense, 10° ≤ 2θ ≤ 80°, in order of falling intensity)
2θ/deg  d (Å)  Rel. int.  index
39.0  2.312  100  1 3 1
18.1  4.897  89  0 1 2
28.8  3.098  85  1 1 3
41.2  2.191  80  4 -1 2
12.8  6.928  60  1 0 1
22.3  3.990  59  0 0 3
25.7  3.464  44  2 0 2
49.2  1.852  34  1 3 4
69.1  1.360  22  5 2 0
73.6  1.287  20  5 2 3

Diffraction record for MgGa2Hg2. The X-ray powder pattern is computed, not measured: it uses a cell relaxed with GGA-PBE and Cu Kα (λ = 1.5418 Å).
Peak positions follow from Bragg's law for the DFT cell and can differ from measured ones.

Structure:
Unit cell a=3.763 b=3.763 c=15.990 alpha=90.00 beta=90.00 gamma=90.00
Space group I4/mmm (No. 139)
Inequivalent atoms, fractional coordinates:
Mg 0.000 0.000 0.000 [2 per cell]
Ga 0.000 0.500 0.250 [4 per cell]
Hg 0.000 0.000 0.402 [4 per cell]

Peak list (10 most intense, 10° ≤ 2θ ≤ 80°, in order of falling intensity)
2θ/deg  d (Å)  Rel. int.  index
24.3  3.663  100  1 0 1
36.9  2.437  70  1 0 5
40.7  2.215  54  1 1 4
33.7  2.663  46  0 0 6
35.6  2.525  40  1 1 2
48.4  1.882  35  2 0 0
62.3  1.489  31  2 1 5
68.5  1.371  24  1 1 10
54.9  1.674  23  2 1 1
60.2  1.537  20  2 0 6

Diffraction record for FeH5Pd8. The X-ray powder pattern is computed, not measured: it uses a cell relaxed with GGA-PBE and Cu Kα (λ = 1.5418 Å).
Peak positions follow from Bragg's law for the DFT cell and can differ from measured ones.

Structure:
Unit cell a=2.853 b=7.190 c=7.581 alpha=80.89 beta=79.34 gamma=78.77
Space group P1 (No. 1)
Inequivalent atoms, fractional coordinates:
Fe 0.000 0.000 0.000 [1 per cell]
H 0.200 0.829 0.768 [1 per cell]
H 0.246 0.463 0.046 [1 per cell]
H 0.539 0.543 0.377 [1 per cell]
H 0.732 0.140 0.416 [1 per cell]
H 0.920 0.465 0.694 [1 per cell]
Pd 0.040 0.669 0.247 [1 per cell]
Pd 0.084 0.319 0.508 [1 per cell]
Pd 0.348 0.991 0.314 [1 per cell]
Pd 0.377 0.654 0.586 [1 per cell]
Pd 0.415 0.314 0.849 [1 per cell]
Pd 0.671 0.991 0.669 [1 per cell]
Pd 0.695 0.678 0.925 [1 per cell]
Pd 0.752 0.323 0.171 [1 per cell]

Peak list (10 most intense, 10° ≤ 2θ ≤ 80°, in order of falling intensity)
2θ/deg  d (Å)  Rel. int.  index
40.3  2.237  100  0 1 -3
42.5  2.127  93  1 2 -1
38.6  2.332  80  0 3 0
40.1  2.247  50  -1 1 1
42.1  2.146  49  0 2 3
36.5  2.463  40  1 0 -1
78.7  1.216  28  2 4 1
36.6  2.454  23  1 1 2
65.4  1.427  17  2 1 1
65.0  1.434  17  1 0 -4

Diffraction record for CaHgAs2Pd5. The X-ray powder pattern is computed, not measured: it uses a cell relaxed with GGA-PBE and Cu Kα (λ = 1.5418 Å).
Peak positions follow from Bragg's law for the DFT cell and can differ from measured ones.

Structure:
Unit cell a=4.685 b=4.685 c=7.646 alpha=90.00 beta=90.00 gamma=90.00
Space group P4/mmm (No. 123)
Inequivalent atoms, fractional coordinates:
Ca 0.000 0.000 0.000 [1 per cell]
Hg 0.000 0.000 0.500 [1 per cell]
As 0.500 0.500 0.334 [2 per cell]
Pd 0.000 0.500 0.240 [4 per cell]
Pd 0.500 0.500 0.000 [1 per cell]

Peak list (10 most intense, 10° ≤ 2θ ≤ 80°, in order of falling intensity)
2θ/deg  d (Å)  Rel. int.  index
35.9  2.503  100  1 1 2
38.4  2.342  73  2 0 0
67.9  1.381  30  3 1 2
40.3  2.239  28  1 0 3
55.5  1.656  26  2 2 0
22.3  3.994  23  1 0 1
56.9  1.618  20  2 1 3
62.7  1.481  19  2 0 4
30.2  2.962  14  1 0 2
44.9  2.020  12  2 1 1

Diffraction record for AlSb3Pt12. The X-ray powder pattern is computed, not measured: it uses a cell relaxed with GGA-PBE and Cu Kα (λ = 1.5418 Å).
Peak positions follow from Bragg's law for the DFT cell and can differ from measured ones.

Structure:
Unit cell a=4.034 b=4.034 c=16.310 alpha=90.00 beta=90.03 gamma=90.00
Space group P2/m (No. 10)
Inequivalent atoms, fractional coordinates:
Al 0.000 0.000 0.000 [1 per cell]
Sb 0.000 0.000 0.500 [1 per cell]
Sb 0.001 0.000 0.242 [2 per cell]
Pt 0.000 0.500 0.116 [2 per cell]
Pt 0.001 0.500 0.372 [2 per cell]
Pt 0.499 0.000 0.628 [2 per cell]
Pt 0.499 0.500 0.755 [2 per cell]
Pt 0.500 0.000 0.116 [2 per cell]
Pt 0.500 0.500 0.000 [1 per cell]
Pt 0.500 0.500 0.500 [1 per cell]

Peak list (10 most intense, 10° ≤ 2θ ≤ 80°, in order of falling intensity)
2θ/deg  d (Å)  Rel. int.  index
38.5  2.337  100  1 1 4
44.9  2.017  33  2 0 0
78.6  1.217  26  3 1 4
65.0  1.434  20  2 0 8
44.4  2.039  16  0 0 8
65.4  1.426  11  2 2 0
77.8  1.227  11  1 1 12
22.0  4.034  4  1 0 0
31.2  2.868  4  1 0 4
21.8  4.078  2  0 0 4

Diffraction record for In2Ge2Au5. The X-ray powder pattern is computed, not measured: it uses a cell relaxed with GGA-PBE and Cu Kα (λ = 1.5418 Å).
Peak positions follow from Bragg's law for the DFT cell and can differ from measured ones.

Structure:
Unit cell a=13.643 b=4.430 c=8.105 alpha=90.00 beta=125.27 gamma=90.00
Space group C2/m (No. 12)
Inequivalent atoms, fractional coordinates:
In 0.160 0.000 0.005 [4 per cell]
Ge 0.161 0.500 0.506 [4 per cell]
Au 0.000 0.500 0.000 [2 per cell]
Au 0.084 0.500 0.734 [4 per cell]
Au 0.100 0.000 0.295 [4 per cell]

Peak list (10 most intense, 10° ≤ 2θ ≤ 80°, in order of falling intensity)
2θ/deg  d (Å)  Rel. int.  index
39.6  2.274  100  6 0 -2
39.1  2.306  67  3 1 -3
40.7  2.215  34  0 2 0
22.9  3.887  24  1 1 -1
71.2  1.325  23  9 1 -5
58.1  1.587  23  6 2 -2
27.9  3.202  22  1 1 1
15.9  5.569  21  2 0 0
31.1  2.877  16  3 1 -2
21.9  4.051  12  2 0 -2

Diffraction record for Zr2PdRh3. The X-ray powder pattern is computed, not measured: it uses a cell relaxed with GGA-PBE and Cu Kα (λ = 1.5418 Å).
Peak positions follow from Bragg's law for the DFT cell and can differ from measured ones.

Structure:
Unit cell a=8.558 b=8.558 c=11.958 alpha=90.00 beta=90.00 gamma=90.00
Space group I4_1/amd (No. 141, origin choice 2)
Inequivalent atoms, fractional coordinates:
Zr 0.000 0.051 0.273 [16 per cell]
Pd 0.000 0.250 0.080 [8 per cell]
Rh 0.000 0.000 0.500 [8 per cell]
Rh 0.214 0.036 0.875 [16 per cell]

Peak list (10 most intense, 10° ≤ 2θ ≤ 80°, in order of falling intensity)
2θ/deg  d (Å)  Rel. int.  index
42.5  2.127  100  2 2 4
38.7  2.328  79  3 2 1
42.2  2.139  55  4 0 0
39.1  2.303  38  1 0 5
36.4  2.465  28  3 1 2
38.8  2.320  28  3 0 3
36.7  2.451  20  2 0 4
67.3  1.392  19  5 0 5
12.7  6.959  17  1 0 1
32.4  2.761  15  2 1 3

Diffraction record for SrTb4Au5. The X-ray powder pattern is computed, not measured: it uses a cell relaxed with GGA-PBE and Cu Kα (λ = 1.5418 Å).
Peak positions follow from Bragg's law for the DFT cell and can differ from measured ones.

Structure:
Unit cell a=3.636 b=3.636 c=18.542 alpha=90.00 beta=90.00 gamma=90.00
Space group P4/mmm (No. 123)
Inequivalent atoms, fractional coordinates:
Sr 0.000 0.000 0.000 [1 per cell]
Tb 0.000 0.000 0.206 [2 per cell]
Tb 0.000 0.000 0.403 [2 per cell]
Au 0.500 0.500 0.119 [2 per cell]
Au 0.500 0.500 0.305 [2 per cell]
Au 0.500 0.500 0.500 [1 per cell]

Peak list (10 most intense, 10° ≤ 2θ ≤ 80°, in order of falling intensity)
2θ/deg  d (Å)  Rel. int.  index
34.5  2.596  100  1 0 5
34.9  2.571  54  1 1 0
62.3  1.489  37  2 1 5
50.2  1.818  19  2 0 0
61.7  1.504  14  1 1 10
72.9  1.298  9  2 0 10
49.1  1.854  7  0 0 10
73.7  1.286  6  2 2 0
38.2  2.355  6  1 0 6
66.3  1.410  4  1 1 11

Diffraction record for MgH2S2O8. The X-ray powder pattern is computed, not measured: it uses a cell relaxed with GGA-PBE and Cu Kα (λ = 1.5418 Å).
Peak positions follow from Bragg's law for the DFT cell and can differ from measured ones.

Structure:
Unit cell a=4.878 b=11.352 c=7.476 alpha=90.00 beta=112.67 gamma=90.00
Space group P2_1/c (No. 14)
Inequivalent atoms, fractional coordinates:
Mg 0.000 0.000 0.000 [2 per cell]
H 0.460 0.242 0.823 [4 per cell]
S 0.397 0.011 0.709 [4 per cell]
O 0.148 0.004 0.776 [4 per cell]
O 0.328 0.190 0.320 [4 per cell]
O 0.365 0.115 0.173 [4 per cell]
O 0.376 0.600 0.669 [4 per cell]

Peak list (10 most intense, 10° ≤ 2θ ≤ 80°, in order of falling intensity)
2θ/deg  d (Å)  Rel. int.  index
15.6  5.676  100  0 2 0
25.8  3.452  67  0 0 2
30.3  2.949  40  1 2 -2
36.5  2.462  38  1 3 1
19.7  4.501  26  1 0 0
15.0  5.895  19  0 1 1
49.0  1.859  13  1 5 1
57.0  1.616  10  0 5 3
55.6  1.652  10  2 2 -4
21.2  4.184  9  1 1 0

Diffraction record for Cs12Au5Cl3. The X-ray powder pattern is computed, not measured: it uses a cell relaxed with GGA-PBE and Cu Kα (λ = 1.5418 Å).
Peak positions follow from Bragg's law for the DFT cell and can differ from measured ones.

Structure:
Unit cell a=15.2852 b=15.2852 c=5.3228 alpha=90.00 beta=90.00 gamma=120.00
Space group P-62m (No. 189)
Inequivalent atoms, fractional coordinates:
Cs 0.0000 0.1761 0.0000 [3 per cell]
Cs 0.0000 0.4701 0.0000 [3 per cell]
Cs 0.1927 0.7412 0.5000 [6 per cell]
Au 0.0000 0.7020 0.0000 [3 per cell]
Au 0.3333 0.6667 0.0000 [2 per cell]
Cl 0.0000 0.3344 0.5000 [3 per cell]

Peak list (10 most intense, 10° ≤ 2θ ≤ 80°, in order of falling intensity)
2θ/deg  d (Å)  Rel. int.  index
24.4  3.646  100  2 1 1
28.8  3.104  57  2 2 1
24.2  3.671  49  3 1 0
26.2  3.397  39  3 0 1
33.7  2.661  29  0 0 2
41.9  2.155  23  3 1 2
34.0  2.638  22  3 2 1
44.5  2.038  21  6 0 1
26.9  3.309  18  4 0 0
29.4  3.037  17  3 2 0